No. 1
The following is a calculated powder X-ray diffraction pattern of Ba2CuTeO2. It was derived from a DFT-relaxed cell (GGA-PBE, the Materials Project), using copper Kα.
No peak broadening, texture or thermal motion is included.

Atomic structure:
```
data_Ba2CuTeO2
_chemical_formula_sum 'Ba2 Cu1 Te1 O2'
_space_group_name_H-M_alt 'P 4/m m m'
_space_group_IT_number 123
_space_group_name_Hall '-P 4 2'
_cell_length_a 4.1419
_cell_length_b 4.1419
_cell_length_c 8.1054
_cell_angle_alpha 90.00
_cell_angle_beta 90.00
_cell_angle_gamma 90.00
loop_
_atom_site_label
_atom_site_type_symbol
_atom_site_fract_x
_atom_site_fract_y
_atom_site_fract_z
Ba1 Ba 0.0000 0.0000 0.2213
Cu1 Cu 0.5000 0.5000 0.0000
Te1 Te 0.5000 0.5000 0.5000
O1 O 0.0000 0.5000 0.0000
```

Principal peaks in the range 5 to 70 degrees two-theta, sorted by position:
- d 3.688, 2θ 24.13, intensity 10, hkl 1 0 1
- d 2.929, 2θ 30.52, intensity 47, hkl 1 1 0
- d 2.897, 2θ 30.87, intensity 100, hkl 1 0 2
- d 2.071, 2θ 43.71, intensity 23, hkl 2 0 0
- d 2.026, 2θ 44.72, intensity 8, hkl 0 0 4
- d 1.986, 2θ 45.69, intensity 8, hkl 1 1 3
- d 1.685, 2θ 54.46, intensity 39, hkl 2 1 2
- d 1.666, 2θ 55.11, intensity 13, hkl 1 1 4
- d 1.464, 2θ 63.53, intensity 7, hkl 2 2 0
- d 1.448, 2θ 64.32, intensity 11, hkl 2 0 4

No. 2
The following is a calculated powder X-ray diffraction pattern of BaCuTe2O7. It was derived from a DFT-relaxed cell (GGA-PBE, the Materials Project), using copper Kα.
No peak broadening, texture or thermal motion is included.

Atomic structure:
```
data_BaCuTe2O7
_chemical_formula_sum 'Ba4 Cu4 Te8 O28'
_space_group_name_H-M_alt 'A m a 2'
_space_group_IT_number 40
_space_group_name_Hall 'A 2 -2a'
_cell_length_a 5.5608
_cell_length_b 15.9045
_cell_length_c 7.2976
_cell_angle_alpha 90.00
_cell_angle_beta 90.00
_cell_angle_gamma 90.00
loop_
_atom_site_label
_atom_site_type_symbol
_atom_site_fract_x
_atom_site_fract_y
_atom_site_fract_z
Ba1 Ba 0.2500 0.2095 0.0000
Cu1 Cu 0.2500 0.1310 0.5094
Te1 Te 0.2500 0.4226 0.2592
Te2 Te 0.2500 0.4289 0.7562
O1 O 0.0000 0.0000 0.8694
O2 O 0.0023 0.3433 0.1887
O3 O 0.0084 0.1448 0.3112
O4 O 0.2500 0.3665 0.5011
O5 O 0.2500 0.4812 0.0250
```

Principal peaks in the range 5 to 70 degrees two-theta, sorted by position:
- d 3.396, 2θ 26.24, intensity 35, hkl 1 3 1
- d 3.316, 2θ 26.88, intensity 45, hkl 0 2 2
- d 3.234, 2θ 27.58, intensity 97, hkl 1 4 0
- d 2.848, 2θ 31.41, intensity 100, hkl 1 2 2
- d 2.780, 2θ 32.19, intensity 39, hkl 2 0 0
- d 2.131, 2θ 42.42, intensity 32, hkl 2 2 2
- d 1.825, 2θ 49.99, intensity 19, hkl 0 0 4
- d 1.618, 2θ 56.91, intensity 23, hkl 3 2 2
- d 1.589, 2θ 58.04, intensity 24, hkl 1 4 4
- d 1.525, 2θ 60.71, intensity 20, hkl 2 0 4

No. 3
The following is a calculated powder X-ray diffraction pattern of BaYTiCuO5. It was derived from a DFT-relaxed cell (GGA-PBE, the Materials Project), using copper Kα.
No peak broadening, texture or thermal motion is included.

Atomic structure:
```
data_BaYTiCuO5
_chemical_formula_sum 'Ba1 Y1 Ti1 Cu1 O5'
_space_group_name_H-M_alt 'P 4 m m'
_space_group_IT_number 99
_space_group_name_Hall 'P 4 -2'
_cell_length_a 3.9377
_cell_length_b 3.9377
_cell_length_c 7.9265
_cell_angle_alpha 90.00
_cell_angle_beta 90.00
_cell_angle_gamma 90.00
loop_
_atom_site_label
_atom_site_type_symbol
_atom_site_fract_x
_atom_site_fract_y
_atom_site_fract_z
Ba1 Ba 0.0000 0.0000 0.0000
Y1 Y 0.0000 0.0000 0.4395
Ti1 Ti 0.5000 0.5000 0.6838
Cu1 Cu 0.5000 0.5000 0.2671
O1 O 0.0000 0.5000 0.2641
O2 O 0.0000 0.5000 0.6295
O3 O 0.5000 0.5000 0.9106
```

Principal peaks in the range 5 to 70 degrees two-theta, sorted by position:
- d 7.927, 2θ 11.16, intensity 11, hkl 0 0 1
- d 3.938, 2θ 22.58, intensity 10, hkl 1 0 0
- d 2.793, 2θ 32.04, intensity 100, hkl 1 0 2
- d 2.784, 2θ 32.15, intensity 46, hkl 1 1 0
- d 2.278, 2θ 39.56, intensity 16, hkl 1 1 2
- d 2.194, 2θ 41.14, intensity 13, hkl 1 0 3
- d 1.969, 2θ 46.10, intensity 34, hkl 2 0 0
- d 1.614, 2θ 57.04, intensity 11, hkl 1 1 4
- d 1.609, 2θ 57.25, intensity 37, hkl 2 1 2
- d 1.392, 2θ 67.25, intensity 10, hkl 2 2 0

No. 4
The following is a calculated powder X-ray diffraction pattern of Ba2TmCu3O7. It was derived from a DFT-relaxed cell (GGA-PBE, the Materials Project), using copper Kα.
No peak broadening, texture or thermal motion is included.

Atomic structure:
```
data_Ba2TmCu3O7
_chemical_formula_sum 'Ba2 Tm1 Cu3 O7'
_space_group_name_H-M_alt 'P m m m'
_space_group_IT_number 47
_space_group_name_Hall '-P 2 2'
_cell_length_a 3.8219
_cell_length_b 3.9259
_cell_length_c 11.7383
_cell_angle_alpha 90.00
_cell_angle_beta 90.00
_cell_angle_gamma 90.00
loop_
_atom_site_label
_atom_site_type_symbol
_atom_site_fract_x
_atom_site_fract_y
_atom_site_fract_z
Ba1 Ba 0.0000 0.0000 0.1819
Tm1 Tm 0.0000 0.0000 0.5000
Cu1 Cu 0.5000 0.5000 0.0000
Cu2 Cu 0.5000 0.5000 0.3558
O1 O 0.0000 0.5000 0.3825
O2 O 0.5000 0.0000 0.0000
O3 O 0.5000 0.0000 0.3807
O4 O 0.5000 0.5000 0.1617
```

Principal peaks in the range 5 to 70 degrees two-theta, sorted by position:
- d 11.738, 2θ 7.53, intensity 16, hkl 0 0 1
- d 3.920, 2θ 22.69, intensity 14, hkl 0 1 0
- d 2.771, 2θ 32.30, intensity 47, hkl 0 1 3
- d 2.736, 2θ 32.73, intensity 100, hkl 1 0 3
- d 2.244, 2θ 40.19, intensity 16, hkl 1 1 3
- d 1.963, 2θ 46.25, intensity 15, hkl 0 2 0
- d 1.911, 2θ 47.58, intensity 14, hkl 2 0 0
- d 1.595, 2θ 57.82, intensity 20, hkl 1 2 3
- d 1.592, 2θ 57.93, intensity 18, hkl 1 1 6
- d 1.573, 2θ 58.68, intensity 17, hkl 2 1 3

No. 5
The following is a calculated powder X-ray diffraction pattern of Ba2TmCu4O8. It was derived from a DFT-relaxed cell (GGA-PBE, the Materials Project), using copper Kα.
No peak broadening, texture or thermal motion is included.

Atomic structure:
```
data_Ba2TmCu4O8
_chemical_formula_sum 'Ba4 Tm2 Cu8 O16'
_space_group_name_H-M_alt 'C m m m'
_space_group_IT_number 65
_space_group_name_Hall '-C 2 2'
_cell_length_a 3.8870
_cell_length_b 27.4660
_cell_length_c 3.8653
_cell_angle_alpha 90.00
_cell_angle_beta 90.00
_cell_angle_gamma 90.00
loop_
_atom_site_label
_atom_site_type_symbol
_atom_site_fract_x
_atom_site_fract_y
_atom_site_fract_z
Ba1 Ba 0.0000 0.1352 0.0000
Tm1 Tm 0.0000 0.0000 0.0000
Cu1 Cu 0.0000 0.2875 0.5000
Cu2 Cu 0.0000 0.4399 0.5000
O1 O 0.0000 0.0507 0.5000
O2 O 0.0000 0.2185 0.5000
O3 O 0.0000 0.3549 0.5000
O4 O 0.0000 0.4493 0.0000
```

Principal peaks in the range 5 to 70 degrees two-theta, sorted by position:
- d 13.733, 2θ 6.44, intensity 77, hkl 0 2 0
- d 2.953, 2θ 30.26, intensity 41, hkl 0 6 1
- d 2.761, 2θ 32.42, intensity 94, hkl 1 7 0
- d 2.727, 2θ 32.84, intensity 100, hkl 1 1 1
- d 2.567, 2θ 34.96, intensity 65, hkl 0 8 1
- d 1.943, 2θ 46.74, intensity 31, hkl 2 0 0
- d 1.933, 2θ 47.02, intensity 30, hkl 0 0 2
- d 1.583, 2θ 58.27, intensity 35, hkl 1 7 2
- d 1.549, 2θ 59.67, intensity 27, hkl 2 8 1
- d 1.523, 2θ 60.84, intensity 29, hkl 1 15 1

No. 6
The following is a calculated powder X-ray diffraction pattern of Ba2UCuO6. It was derived from a DFT-relaxed cell (GGA-PBE, the Materials Project), using copper Kα.
No peak broadening, texture or thermal motion is included.

Atomic structure:
```
data_Ba2UCuO6
_chemical_formula_sum 'Ba4 U2 Cu2 O12'
_space_group_name_H-M_alt 'I 4/m'
_space_group_IT_number 87
_space_group_name_Hall '-I 4'
_cell_length_a 5.8258
_cell_length_b 5.8258
_cell_length_c 9.0273
_cell_angle_alpha 90.00
_cell_angle_beta 90.00
_cell_angle_gamma 90.00
loop_
_atom_site_label
_atom_site_type_symbol
_atom_site_fract_x
_atom_site_fract_y
_atom_site_fract_z
Ba1 Ba 0.0000 0.5000 0.2500
U1 U 0.0000 0.0000 0.0000
Cu1 Cu 0.0000 0.0000 0.5000
O1 O 0.0000 0.0000 0.2259
O2 O 0.2260 0.2629 0.5000
```

Principal peaks in the range 5 to 70 degrees two-theta, sorted by position:
- d 4.895, 2θ 18.12, intensity 28, hkl 1 0 1
- d 3.043, 2θ 29.35, intensity 100, hkl 1 1 2
- d 2.913, 2θ 30.69, intensity 45, hkl 2 0 0
- d 2.503, 2θ 35.87, intensity 12, hkl 2 1 1
- d 2.257, 2θ 39.95, intensity 17, hkl 0 0 4
- d 2.060, 2θ 43.96, intensity 25, hkl 2 2 0
- d 1.784, 2θ 51.20, intensity 21, hkl 2 0 4
- d 1.706, 2θ 53.74, intensity 38, hkl 1 3 2
- d 1.521, 2θ 60.89, intensity 18, hkl 2 2 4
- d 1.413, 2θ 66.12, intensity 11, hkl 1 1 6